Record 1
The following is a computed PXRD pattern of Ti5O7. It was derived from a cell relaxed with GGA-PBE, using Cu Kα (λ = 1.5418 Å).
Intensities are scaled so that the largest is 100.

Main lines, in order of rising 2θ (2θ = 5–70°):
h k l, 2θ/deg, d_spacing, I_rel
0 0 2, 9.20, 9.607, 100
0 2 0, 17.89, 4.957, 13
0 2 2, 20.16, 4.405, 21
0 2 6, 33.31, 2.690, 46
1 1 2, 33.42, 2.681, 16
0 2 8, 41.79, 2.161, 13
1 3 2, 42.45, 2.130, 36
1 3 3, 43.80, 2.067, 22
1 3 4, 45.63, 1.988, 18
1 5 5, 61.52, 1.507, 12

Crystal structure
```
data_Ti5O7
_chemical_formula_sum 'Ti20 O28'
_space_group_name_H-M_alt 'C m c m'
_space_group_IT_number 63
_space_group_name_Hall '-C 2c 2'
_cell_length_a 2.9099
_cell_length_b 9.9140
_cell_length_c 19.2150
_cell_angle_alpha 90.00
_cell_angle_beta 90.00
_cell_angle_gamma 90.00
loop_
_atom_site_label
_atom_site_type_symbol
_atom_site_fract_x
_atom_site_fract_y
_atom_site_fract_z
Ti1 Ti 0.0000 0.0000 0.0000
Ti2 Ti 0.0000 0.2739 0.0712
Ti3 Ti 0.0000 0.4792 0.6599
O1 O 0.0000 0.0883 0.6060
O2 O 0.0000 0.1564 0.1542
O3 O 0.0000 0.3599 0.5306
O4 O 0.0000 0.4663 0.2500
```

=====

Record 2
The following is a computed PXRD pattern of TiO2. It was derived from a cell relaxed with GGA-PBE, using Cu Kα (λ = 1.5418 Å).
Intensities are scaled so that the largest is 100.

Main lines, in order of rising 2θ (2θ = 5–70°):
h k l, 2θ/deg, d_spacing, I_rel
2 0 2, 19.25, 4.611, 88
4 0 0, 20.02, 4.435, 100
3 0 2, 22.30, 3.986, 18
0 0 4, 33.19, 2.699, 18
6 0 2, 34.59, 2.593, 27
2 1 2, 35.86, 2.504, 53
4 1 0, 36.31, 2.474, 20
4 1 4, 50.01, 1.824, 17
8 1 0, 51.35, 1.779, 21
0 2 0, 62.27, 1.491, 18

Crystal structure
```
data_TiO2
_chemical_formula_sum 'Ti16 O32'
_space_group_name_H-M_alt 'P n m a'
_space_group_IT_number 62
_cell_length_a 17.7385
_cell_length_b 2.9818
_cell_length_c 10.7955
_cell_angle_alpha 90.00
_cell_angle_beta 90.00
_cell_angle_gamma 90.00
loop_
_space_group_symop_operation_xyz
'x,y,z'
'-x,-y,-z'
'-x+1/2,-y,z+1/2'
'x+1/2,y,-z+1/2'
'x+1/2,-y+1/2,-z+1/2'
'-x+1/2,y+1/2,z+1/2'
'-x,y+1/2,-z'
'x,-y+1/2,z'
loop_
_atom_site_label
_atom_site_type_symbol
_atom_site_fract_x
_atom_site_fract_y
_atom_site_fract_z
Ti1 Ti 0.0767 0.2500 0.1952
Ti2 Ti 0.1007 0.2500 0.7177
Ti3 Ti 0.1455 0.7500 0.4765
Ti4 Ti 0.1723 0.7500 0.9975
O1 O 0.0251 0.7500 0.7485
O2 O 0.0651 0.7500 0.0853
O3 O 0.0836 0.2500 0.5267
O4 O 0.1105 0.7500 0.3120
O5 O 0.1410 0.2500 0.8822
O6 O 0.1617 0.7500 0.6689
O7 O 0.1811 0.2500 0.1096
O8 O 0.2232 0.2500 0.4584
```

=====

Copy entry 2 word for word.
The following is a computed PXRD pattern of TiO2. It was derived from a cell relaxed with GGA-PBE, using Cu Kα (λ = 1.5418 Å).
Intensities are scaled so that the largest is 100.

Main lines, in order of rising 2θ (2θ = 5–70°):
h k l, 2θ/deg, d_spacing, I_rel
2 0 2, 19.25, 4.611, 88
4 0 0, 20.02, 4.435, 100
3 0 2, 22.30, 3.986, 18
0 0 4, 33.19, 2.699, 18
6 0 2, 34.59, 2.593, 27
2 1 2, 35.86, 2.504, 53
4 1 0, 36.31, 2.474, 20
4 1 4, 50.01, 1.824, 17
8 1 0, 51.35, 1.779, 21
0 2 0, 62.27, 1.491, 18

Crystal structure
```
data_TiO2
_chemical_formula_sum 'Ti16 O32'
_space_group_name_H-M_alt 'P n m a'
_space_group_IT_number 62
_cell_length_a 17.7385
_cell_length_b 2.9818
_cell_length_c 10.7955
_cell_angle_alpha 90.00
_cell_angle_beta 90.00
_cell_angle_gamma 90.00
loop_
_space_group_symop_operation_xyz
'x,y,z'
'-x,-y,-z'
'-x+1/2,-y,z+1/2'
'x+1/2,y,-z+1/2'
'x+1/2,-y+1/2,-z+1/2'
'-x+1/2,y+1/2,z+1/2'
'-x,y+1/2,-z'
'x,-y+1/2,z'
loop_
_atom_site_label
_atom_site_type_symbol
_atom_site_fract_x
_atom_site_fract_y
_atom_site_fract_z
Ti1 Ti 0.0767 0.2500 0.1952
Ti2 Ti 0.1007 0.2500 0.7177
Ti3 Ti 0.1455 0.7500 0.4765
Ti4 Ti 0.1723 0.7500 0.9975
O1 O 0.0251 0.7500 0.7485
O2 O 0.0651 0.7500 0.0853
O3 O 0.0836 0.2500 0.5267
O4 O 0.1105 0.7500 0.3120
O5 O 0.1410 0.2500 0.8822
O6 O 0.1617 0.7500 0.6689
O7 O 0.1811 0.2500 0.1096
O8 O 0.2232 0.2500 0.4584
```